[1]
Calculated powder X-ray diffraction pattern
Compound: MgMn6O8F4
Radiation: Cu Ka
Structure: a GGA+U-relaxed structure
Lines closer than 0.1° are merged.

Largest 10 diffraction maxima, sorted by position, 10° ≤ 2θ ≤ 90°:
25.56 deg, d 3.485, I = 97; 25.84 deg, d 3.448, I = 100; 34.37 deg, d 2.609, I = 36; 34.68 deg, d 2.586, I = 27; 35.00 deg, d 2.564, I = 28; 35.29 deg, d 2.543, I = 23; 35.47 deg, d 2.531, I = 24; 39.67 deg, d 2.272, I = 28; 51.02 deg, d 1.790, I = 24; 52.35 deg, d 1.748, I = 32

Structure:
a b c (Å): 5.662 5.872 7.546
angles (deg): 68.36 72.21 74.52
Atoms (fractional coordinates):
Mg  0.000  0.000  0.000
Mn  0.048  0.452  0.529
Mn  0.350  0.815  0.668
Mn  0.379  0.798  0.197
Mn  0.591  0.213  0.812
Mn  0.695  0.172  0.363
Mn  0.978  0.477  0.010
O  0.037  0.142  0.189
O  0.272  0.693  0.478
O  0.317  0.485  0.857
O  0.351  0.163  0.502
O  0.381  0.945  0.892
O  0.643  0.497  0.179
O  0.796  0.269  0.544
O  0.879  0.345  0.820
F  0.068  0.648  0.202
F  0.626  0.036  0.130
F  0.741  0.806  0.511
F  0.924  0.837  0.846

[2]
Calculated powder X-ray diffraction pattern
Compound: LiVTeO5
Radiation: Cu Ka
Structure: a GGA+U-relaxed structure
Lines closer than 0.1° are merged.

Largest 10 diffraction maxima, sorted by position, 10° ≤ 2θ ≤ 90°:
20.53 deg, d 4.327, I = 53; 23.57 deg, d 3.774, I = 100; 24.66 deg, d 3.610, I = 57; 24.94 deg, d 3.570, I = 30; 27.65 deg, d 3.226, I = 68; 28.33 deg, d 3.151, I = 31; 36.63 deg, d 2.453, I = 52; 37.39 deg, d 2.405, I = 62; 43.78 deg, d 2.068, I = 28; 52.65 deg, d 1.738, I = 27

Structure:
a b c (Å): 8.574 6.451 7.961
angles (deg): 90.00 90.00 90.00
Atoms (fractional coordinates):
Li  0.000  0.000  0.000
Li  0.000  0.500  0.000
Li  0.500  0.000  0.500
Li  0.500  0.500  0.500
V  0.199  0.250  0.265
V  0.301  0.750  0.765
V  0.699  0.250  0.235
V  0.801  0.750  0.735
Te  0.144  0.750  0.368
Te  0.356  0.250  0.868
Te  0.644  0.750  0.132
Te  0.856  0.250  0.632
O  0.105  0.750  0.784
O  0.138  0.250  0.461
O  0.152  0.250  0.960
O  0.157  0.534  0.202
O  0.157  0.966  0.202
O  0.343  0.034  0.702
O  0.343  0.466  0.702
O  0.348  0.750  0.460
O  0.362  0.750  0.961
O  0.395  0.250  0.284
O  0.605  0.750  0.716
O  0.638  0.250  0.039
O  0.652  0.250  0.540
O  0.657  0.534  0.298
O  0.657  0.966  0.298
O  0.843  0.034  0.798
O  0.843  0.466  0.798
O  0.848  0.750  0.040
O  0.862  0.750  0.539
O  0.895  0.250  0.216

[3]
Calculated powder X-ray diffraction pattern
Compound: LiCoPO4
Radiation: Cu Ka
Structure: a GGA+U-relaxed structure
Lines closer than 0.1° are merged.

Largest 10 diffraction maxima, sorted by position, 10° ≤ 2θ ≤ 90°:
18.84 deg, d 4.710, I = 100; 19.60 deg, d 4.528, I = 99; 20.52 deg, d 4.328, I = 96; 21.48 deg, d 4.137, I = 66; 22.16 deg, d 4.012, I = 47; 28.53 deg, d 3.129, I = 43; 33.40 deg, d 2.683, I = 38; 34.74 deg, d 2.582, I = 37; 36.52 deg, d 2.460, I = 31; 36.94 deg, d 2.433, I = 45

Structure:
a b c (Å): 5.371 5.371 8.656
angles (deg): 90.00 90.00 122.54
Atoms (fractional coordinates):
Li  0.175  0.825  0.500
Li  0.825  0.175  0.000
Co  0.341  0.674  0.809
Co  0.674  0.341  0.309
P  0.336  0.685  0.185
P  0.685  0.336  0.685
O  0.011  0.416  0.175
O  0.349  0.915  0.301
O  0.416  0.011  0.675
O  0.438  0.835  0.023
O  0.545  0.591  0.239
O  0.591  0.545  0.739
O  0.835  0.438  0.523
O  0.915  0.349  0.801

[4]
Calculated powder X-ray diffraction pattern
Compound: MnInO3
Radiation: Cu Ka
Structure: a GGA+U-relaxed structure
Lines closer than 0.1° are merged.

Largest 10 diffraction maxima, sorted by position, 10° ≤ 2θ ≤ 90°:
15.22 deg, d 5.820, I = 26; 29.74 deg, d 3.004, I = 39; 30.73 deg, d 2.909, I = 76; 33.57 deg, d 2.670, I = 100; 43.29 deg, d 2.090, I = 36; 52.78 deg, d 1.735, I = 43; 56.47 deg, d 1.630, I = 27; 62.32 deg, d 1.490, I = 33; 64.01 deg, d 1.455, I = 22; 87.53 deg, d 1.115, I = 23

Structure:
a b c (Å): 6.009 6.009 11.639
angles (deg): 90.00 90.00 120.00
Atoms (fractional coordinates):
Mn  0.000  0.335  0.000
Mn  0.000  0.665  0.500
Mn  0.335  0.000  0.000
Mn  0.335  0.335  0.500
Mn  0.665  0.000  0.500
Mn  0.665  0.665  0.000
In  0.000  0.000  0.228
In  0.000  0.000  0.728
In  0.333  0.667  0.262
In  0.333  0.667  0.762
In  0.667  0.333  0.262
In  0.667  0.333  0.762
O  0.000  0.000  0.026
O  0.000  0.000  0.526
O  0.000  0.311  0.834
O  0.000  0.357  0.165
O  0.000  0.643  0.665
O  0.000  0.689  0.334
O  0.311  0.000  0.834
O  0.311  0.311  0.334
O  0.333  0.667  0.484
O  0.333  0.667  0.984
O  0.357  0.000  0.165
O  0.357  0.357  0.665
O  0.643  0.000  0.665
O  0.643  0.643  0.165
O  0.667  0.333  0.484
O  0.667  0.333  0.984
O  0.689  0.000  0.334
O  0.689  0.689  0.834